Computed powder diffraction line list of Ac12InIr6 for Cu Kα, 1.54184 Å, from a DFT-relaxed cell (GGA-PBE, Alexandria).

Largest 10 diffraction maxima, in order of rising 2θ, 2θ from 5° to 70°:
2θ = 11.52°, d 7.683, rel. 17
2θ = 25.93°, d 3.436, rel. 15
2θ = 28.46°, d 3.136, rel. 17
2θ = 30.79°, d 2.904, rel. 100
2θ = 35.04°, d 2.561, rel. 13
2θ = 42.42°, d 2.131, rel. 34
2θ = 48.88°, d 1.863, rel. 21
2θ = 50.39°, d 1.811, rel. 18
2θ = 51.88°, d 1.763, rel. 23
2θ = 60.23°, d 1.537, rel. 15

Cell and atoms:
```
data_Ac12InIr6
_cell_length_a 10.865
_cell_length_b 10.865
_cell_length_c 10.865
_cell_angle_alpha 90.00
_cell_angle_beta 90.00
_cell_angle_gamma 90.00
_space_group_name_H-M_alt 'I m -3'
_space_group_IT_number 204
_space_group_name_Hall '-I 2 2 3'
loop_
_atom_site_label
_atom_site_fract_x
_atom_site_fract_y
_atom_site_fract_z
Ac1 0.000 0.182 0.313
In1 0.000 0.000 0.000
Ir1 0.000 0.373 0.500
```